[1]
Theoretical powder diffraction line list
Compound: TbPuCd4
Radiation: Cu Kα
Structure: a crystal structure in Alexandria, relaxed with PBE
Peak positions follow from Bragg's law for the DFT cell and can differ from measured ones.

Cell and atoms:
a = 9.712 Å, b = 9.712 Å, c = 9.712 Å
α = 154.94°, β = 154.94°, γ = 35.73°
Element x y z (fractional)
1 Tb 0.000 0.000 0.000
2 Pu 0.250 0.750 0.500
3 Cd 0.424 0.424 0.000
4 Cd 0.576 0.576 0.000
5 Cd 0.672 0.172 0.500
6 Cd 0.828 0.328 0.500

The 10 most intense peaks (2θ = 10–90°), in order of falling intensity:
- d = 2.836 Å, 2θ = 31.55°, rel. 100
- d = 2.779 Å, 2θ = 32.21°, rel. 62
- d = 2.238 Å, 2θ = 40.30°, rel. 43
- d = 2.107 Å, 2θ = 42.93°, rel. 37
- d = 1.679 Å, 2θ = 54.67°, rel. 27
- d = 1.534 Å, 2θ = 60.34°, rel. 26
- d = 3.478 Å, 2θ = 25.61°, rel. 24
- d = 1.319 Å, 2θ = 71.54°, rel. 19
- d = 1.490 Å, 2θ = 62.33°, rel. 12
- d = 1.244 Å, 2θ = 76.62°, rel. 12

---

[2]
Theoretical powder diffraction line list
Compound: PuThCd17
Radiation: Cu Kα
Structure: a crystal structure in Alexandria, relaxed with PBE
Peak positions follow from Bragg's law for the DFT cell and can differ from measured ones.

Cell and atoms:
a = 7.689 Å, b = 7.689 Å, c = 7.689 Å
α = 82.06°, β = 82.06°, γ = 82.06°
Element x y z (fractional)
1 Pu 0.000 0.000 0.000
2 Th 0.337 0.337 0.337
3 Cd 0.038 0.038 0.467
4 Cd 0.038 0.467 0.038
5 Cd 0.145 0.685 0.685
6 Cd 0.319 0.319 0.797
7 Cd 0.319 0.797 0.319
8 Cd 0.365 0.666 0.969
9 Cd 0.365 0.969 0.666
10 Cd 0.467 0.038 0.038
11 Cd 0.563 0.563 0.563
12 Cd 0.666 0.365 0.969
13 Cd 0.666 0.969 0.365
14 Cd 0.685 0.145 0.685
15 Cd 0.685 0.685 0.145
16 Cd 0.760 0.760 0.760
17 Cd 0.797 0.319 0.319
18 Cd 0.969 0.365 0.666
19 Cd 0.969 0.666 0.365

The 10 most intense peaks (2θ = 10–90°), in order of falling intensity:
- d = 2.521 Å, 2θ = 35.61°, rel. 100
- d = 2.914 Å, 2θ = 30.68°, rel. 26
- d = 2.480 Å, 2θ = 36.22°, rel. 23
- d = 1.450 Å, 2θ = 64.26°, rel. 21
- d = 2.508 Å, 2θ = 35.81°, rel. 19
- d = 2.850 Å, 2θ = 31.39°, rel. 16
- d = 2.254 Å, 2θ = 39.99°, rel. 16
- d = 3.558 Å, 2θ = 25.03°, rel. 11
- d = 1.457 Å, 2θ = 63.89°, rel. 10
- d = 1.595 Å, 2θ = 57.80°, rel. 8

---

[3]
Theoretical powder diffraction line list
Compound: Pu3Tl2Cd3
Radiation: Cu Kα
Structure: a crystal structure in Alexandria, relaxed with PBE
Peak positions follow from Bragg's law for the DFT cell and can differ from measured ones.

Cell and atoms:
a = 9.524 Å, b = 9.524 Å, c = 5.462 Å
α = 106.53°, β = 106.53°, γ = 23.59°
Element x y z (fractional)
1 Pu 0.000 0.000 0.000
2 Pu 0.408 0.408 0.908
3 Pu 0.592 0.592 0.092
4 Tl 0.242 0.242 0.242
5 Tl 0.758 0.758 0.758
6 Cd 0.123 0.123 0.623
7 Cd 0.500 0.500 0.500
8 Cd 0.877 0.877 0.377

The 10 most intense peaks (2θ = 10–90°), in order of falling intensity:
- d = 2.584 Å, 2θ = 34.71°, rel. 100
- d = 2.731 Å, 2θ = 32.79°, rel. 37
- d = 5.223 Å, 2θ = 16.98°, rel. 22
- d = 1.547 Å, 2θ = 59.78°, rel. 21
- d = 1.585 Å, 2θ = 58.20°, rel. 14
- d = 1.947 Å, 2θ = 46.66°, rel. 14
- d = 1.215 Å, 2θ = 78.77°, rel. 11
- d = 1.824 Å, 2θ = 50.00°, rel. 9
- d = 2.230 Å, 2θ = 40.45°, rel. 8
- d = 2.631 Å, 2θ = 34.08°, rel. 8

---

[4]
Theoretical powder diffraction line list
Compound: TmPu2Cd6
Radiation: Cu Kα
Structure: a crystal structure in Alexandria, relaxed with PBE
Peak positions follow from Bragg's law for the DFT cell and can differ from measured ones.

Cell and atoms:
a = 6.028 Å, b = 6.028 Å, c = 6.028 Å
α = 93.87°, β = 93.87°, γ = 93.87°
Element x y z (fractional)
1 Tm 0.000 0.000 0.000
2 Pu 0.343 0.343 0.343
3 Pu 0.657 0.657 0.657
4 Cd 0.164 0.500 0.836
5 Cd 0.164 0.836 0.500
6 Cd 0.500 0.164 0.836
7 Cd 0.500 0.836 0.164
8 Cd 0.836 0.164 0.500
9 Cd 0.836 0.500 0.164

The 10 most intense peaks (2θ = 10–90°), in order of falling intensity:
- d = 2.608 Å, 2θ = 34.39°, rel. 100
- d = 2.543 Å, 2θ = 35.30°, rel. 86
- d = 1.480 Å, 2θ = 62.77°, rel. 35
- d = 1.821 Å, 2θ = 50.10°, rel. 35
- d = 1.365 Å, 2θ = 68.76°, rel. 23
- d = 4.404 Å, 2θ = 20.16°, rel. 16
- d = 1.468 Å, 2θ = 63.35°, rel. 15
- d = 1.143 Å, 2θ = 84.84°, rel. 15
- d = 1.271 Å, 2θ = 74.65°, rel. 10
- d = 1.618 Å, 2θ = 56.90°, rel. 7